Structure and calculated X-ray powder pattern of UMnPbO6 (a DFT-relaxed cell (GGA+U, Alexandria); Cu Kα (λ = 1.5418 Å)).
No peak broadening, texture or thermal motion is included.

Structure:
```
data_UMnPbO6
_chemical_formula_sum 'U2 Mn2 Pb2 O12'
_space_group_name_H-M_alt 'P 42 n m'
_space_group_IT_number 102
_cell_length_a 5.0226
_cell_length_b 5.0226
_cell_length_c 10.0458
_cell_angle_alpha 90.00
_cell_angle_beta 90.00
_cell_angle_gamma 90.00
loop_
_space_group_symop_operation_xyz
'x,y,z'
'-y+1/2,x+1/2,z+1/2'
'-x,-y,z'
'y+1/2,-x+1/2,z+1/2'
'-x+1/2,y+1/2,z+1/2'
'y,x,z'
'x+1/2,-y+1/2,z+1/2'
'-y,-x,z'
loop_
_atom_site_label
_atom_site_type_symbol
_atom_site_fract_x
_atom_site_fract_y
_atom_site_fract_z
U1 U 0.0000 0.0000 0.0000
Mn1 Mn 0.0000 0.0000 0.6656
Pb1 Pb 0.0000 0.0000 0.3341
O1 O 0.1899 0.1899 0.8401
O2 O 0.1946 0.1946 0.1594
O3 O 0.2037 0.2037 0.5002
```

Top 10 peaks for 2θ = 15–90°, low angle first:
19.8°, I = 35; 25.1°, I = 100; 32.1°, I = 89; 35.8°, I = 29; 48.8°, I = 74; 51.5°, I = 20; 58.1°, I = 18; 61.2°, I = 21; 62.0°, I = 25; 73.7°, I = 18